Li6MnFe2O6: computed powder XRD pattern (Cu Kα, 1.54184 Å), based on DFT lattice parameters and positions (GGA+U).
Peak positions follow from Bragg's law for the DFT cell and can differ from measured ones.

Atomic structure:
```
data_Li6MnFe2O6
_chemical_formula_sum 'Li12 Mn2 Fe4 O12'
_cell_length_a 11.673
_cell_length_b 3.299
_cell_length_c 7.688
_cell_angle_alpha 90.00
_cell_angle_beta 107.86
_cell_angle_gamma 90.00
_symmetry_space_group_name_H-M 'C 1 2/m 1'
_symmetry_Int_Tables_number 12
_symmetry_space_group_name_Hall '-C 2y'
loop_
_atom_site_label
_atom_site_type_symbol
_atom_site_fract_x
_atom_site_fract_y
_atom_site_fract_z
Li1 Li 0.010 0.000 0.154
Li2 Li 0.154 0.500 0.175
Li3 Li 0.179 0.500 0.491
Mn1 Mn 0.000 0.000 0.500
Fe1 Fe 0.169 0.500 0.833
O1 O 0.020 0.500 0.298
O2 O 0.145 0.000 0.035
O3 O 0.192 0.000 0.635
```

Main lines, sorted by position (2θ from 10° to 90°):
d = 5.272 Å, 2θ 16.82, intensity 100; d = 2.815 Å, 2θ 31.79, intensity 22; d = 2.503 Å, 2θ 35.87, intensity 75; d = 2.367 Å, 2θ 38.01, intensity 29; d = 1.943 Å, 2θ 46.76, intensity 33; d = 1.906 Å, 2θ 47.72, intensity 17; d = 1.852 Å, 2θ 49.20, intensity 16; d = 1.580 Å, 2θ 58.42, intensity 22